(1)
Diffraction record for Na3BiF6. The powder XRD pattern is computed, not measured: it uses a DFT-relaxed cell (GGA-PBE, the Materials Project) and Cu Kα X-rays.
No peak broadening, texture or thermal motion is included.

Crystal structure
a b c (Å): 6.3335 6.3335 6.3335
angles (deg): 60.00 60.00 60.00
Fractional coordinates of all 10 atoms:
Na: 0.0000 0.0000 0.0000
Na: 0.2500 0.2500 0.2500
Na: 0.7500 0.7500 0.7500
Bi: 0.5000 0.5000 0.5000
F: 0.2486 0.2486 0.7514
F: 0.2486 0.7514 0.2486
F: 0.2486 0.7514 0.7514
F: 0.7514 0.2486 0.2486
F: 0.7514 0.2486 0.7514
F: 0.7514 0.7514 0.2486

Principal peaks in the range 10 to 80 degrees two-theta, in order of rising 2θ:
| two_theta | I_rel |
| --- | --- |
| 17.1 | 100 |
| 19.8 | 84 |
| 28.2 | 83 |
| 33.2 | 64 |
| 40.3 | 44 |
| 44.1 | 30 |
| 45.3 | 40 |
| 49.9 | 37 |
| 53.1 | 23 |
| 58.3 | 27 |

(2)
Diffraction record for Tl3Ir. The powder XRD pattern is computed, not measured: it uses a DFT-relaxed cell (GGA-PBE, the Materials Project) and Cu Kα X-rays.
No peak broadening, texture or thermal motion is included.

Crystal structure
a b c (Å): 5.7346 5.7346 5.7346
angles (deg): 90.00 90.00 90.00
Fractional coordinates of all 8 atoms:
Tl: 0.0000 0.2500 0.5000
Tl: 0.0000 0.7500 0.5000
Tl: 0.2500 0.5000 0.0000
Tl: 0.5000 0.0000 0.2500
Tl: 0.5000 0.0000 0.7500
Tl: 0.7500 0.5000 0.0000
Ir: 0.0000 0.0000 0.0000
Ir: 0.5000 0.5000 0.5000

Principal peaks in the range 10 to 80 degrees two-theta, in order of rising 2θ:
| two_theta | I_rel |
| --- | --- |
| 31.2 | 32 |
| 35.0 | 100 |
| 38.5 | 74 |
| 55.5 | 10 |
| 58.0 | 24 |
| 60.4 | 40 |
| 65.1 | 17 |
| 73.9 | 11 |
| 76.1 | 22 |
| 78.2 | 10 |

(3)
Diffraction record for Cs2KTaCl6. The powder XRD pattern is computed, not measured: it uses a DFT-relaxed cell (GGA-PBE, the Materials Project) and Cu Kα X-rays.
No peak broadening, texture or thermal motion is included.

Crystal structure
a b c (Å): 7.7947 7.7947 7.7947
angles (deg): 60.00 60.00 60.00
Fractional coordinates of all 10 atoms:
Cs: 0.2500 0.2500 0.2500
Cs: 0.7500 0.7500 0.7500
K: 0.0000 0.0000 0.0000
Ta: 0.5000 0.5000 0.5000
Cl: 0.2747 0.2747 0.7253
Cl: 0.2747 0.7253 0.2747
Cl: 0.2747 0.7253 0.7253
Cl: 0.7253 0.2747 0.2747
Cl: 0.7253 0.2747 0.7253
Cl: 0.7253 0.7253 0.2747

Principal peaks in the range 10 to 80 degrees two-theta, in order of rising 2θ:
| two_theta | I_rel |
| --- | --- |
| 13.9 | 35 |
| 22.8 | 100 |
| 26.8 | 12 |
| 28.0 | 15 |
| 32.5 | 56 |
| 40.1 | 44 |
| 46.6 | 37 |
| 52.5 | 24 |
| 63.1 | 26 |
| 77.4 | 15 |